(1)
TbScS3: calculated PXRD pattern (copper Kα), based on a cell relaxed with GGA-PBE.
Peak positions follow from Bragg's law for the DFT cell and can differ from measured ones.

Principal peaks in the range 10° ≤ 2θ ≤ 90°, sorted by position:
d (Å)  2θ/deg  I_rel
4.770  18.60  30
4.242  20.94  65
3.361  26.52  100
3.304  26.99  30
2.786  32.13  33
2.640  33.96  41
2.360  38.13  32
2.298  39.20  39
2.148  42.08  48
1.877  48.50  31

Structural model:
a b c (Å): 7.0428 9.5391 6.3996
angles (deg): 90.00 90.00 90.00
Fractional coordinates of all 20 atoms:
1 Tb 0.1014 0.2500 0.0412
2 Tb 0.3986 0.7500 0.5412
3 Tb 0.6014 0.2500 0.4588
4 Tb 0.8986 0.7500 0.9588
5 Sc 0.0000 0.0000 0.5000
6 Sc 0.0000 0.5000 0.5000
7 Sc 0.5000 0.0000 0.0000
8 Sc 0.5000 0.5000 0.0000
9 S 0.0462 0.7500 0.3571
10 S 0.1846 0.5701 0.8240
11 S 0.1846 0.9299 0.8240
12 S 0.3154 0.0701 0.3240
13 S 0.3154 0.4299 0.3240
14 S 0.4538 0.2500 0.8571
15 S 0.5462 0.7500 0.1429
16 S 0.6846 0.5701 0.6760
17 S 0.6846 0.9299 0.6760
18 S 0.8154 0.0701 0.1760
19 S 0.8154 0.4299 0.1760
20 S 0.9538 0.2500 0.6429


(2)
Al4V2Ga: calculated PXRD pattern (copper Kα), based on a cell relaxed with GGA-PBE.
Peak positions follow from Bragg's law for the DFT cell and can differ from measured ones.

Principal peaks in the range 10° ≤ 2θ ≤ 90°, sorted by position:
d (Å)  2θ/deg  I_rel
4.881  18.18  58
2.362  38.10  65
2.248  40.12  57
2.221  40.63  88
2.178  41.45  34
2.169  41.64  53
2.161  41.80  91
2.114  42.78  100
2.071  43.71  54
2.036  44.51  68

Structural model:
a b c (Å): 5.0489 6.7690 6.8079
angles (deg): 92.35 106.52 99.81
Fractional coordinates of all 14 atoms:
1 Al 0.0000 0.0000 0.0000
2 Al 0.0627 0.4163 0.8651
3 Al 0.2486 0.7903 0.4630
4 Al 0.3142 0.1772 0.3415
5 Al 0.4172 0.8027 0.8820
6 Al 0.5711 0.2232 0.0278
7 Al 0.8224 0.7431 0.6462
8 Al 0.8906 0.3672 0.4512
9 V 0.1400 0.0899 0.6607
10 V 0.4869 0.4312 0.6840
11 V 0.6547 0.1016 0.6710
12 V 0.7609 0.9631 0.3080
13 Ga 0.4264 0.5552 0.2612
14 Ga 0.8422 0.6241 0.0970


(3)
Al2AsRuW: calculated PXRD pattern (copper Kα), based on a cell relaxed with GGA-PBE.
Peak positions follow from Bragg's law for the DFT cell and can differ from measured ones.

Principal peaks in the range 10° ≤ 2θ ≤ 90°, sorted by position:
d (Å)  2θ/deg  I_rel
4.631  19.16  100
3.275  27.23  95
2.696  33.23  52
2.374  37.90  36
2.316  38.89  67
2.113  42.80  26
2.071  43.70  24
1.922  47.29  42
1.658  55.43  48
1.348  69.77  24

Structural model:
a b c (Å): 4.6315 4.6315 4.7482
angles (deg): 90.00 90.00 90.00
Fractional coordinates of all 5 atoms:
1 Al 0.0000 0.5000 0.0000
2 Al 0.5000 0.0000 0.0000
3 As 0.0000 0.0000 0.5000
4 Ru 0.5000 0.5000 0.0000
5 W 0.5000 0.5000 0.5000


(4)
KCrP2: calculated PXRD pattern (copper Kα), based on a cell relaxed with GGA-PBE.
Peak positions follow from Bragg's law for the DFT cell and can differ from measured ones.

Principal peaks in the range 10° ≤ 2θ ≤ 90°, sorted by position:
d (Å)  2θ/deg  I_rel
5.175  17.13  54
3.402  26.19  100
2.818  31.75  29
2.588  34.67  19
2.181  41.39  10
2.134  42.36  25
1.911  47.59  17
1.719  53.28  23
1.701  53.90  31
1.379  67.97  10

Structural model:
a b c (Å): 7.6522 7.6522 7.6522
angles (deg): 136.78 136.78 62.77
Fractional coordinates of all 8 atoms:
1 K 0.3750 0.6250 0.7500
2 K 0.6250 0.3750 0.2500
3 Cr 0.1250 0.8750 0.2500
4 Cr 0.8750 0.1250 0.7500
5 P 0.0000 0.0000 0.0000
6 P 0.0000 0.0000 0.5000
7 P 0.0000 0.5000 0.0000
8 P 0.5000 0.0000 0.5000


(5)
CeEr2Lu: calculated PXRD pattern (copper Kα), based on a cell relaxed with GGA-PBE.
Peak positions follow from Bragg's law for the DFT cell and can differ from measured ones.

Principal peaks in the range 10° ≤ 2θ ≤ 90°, sorted by position:
d (Å)  2θ/deg  I_rel
2.845  31.44  100
2.464  36.46  51
1.742  52.52  36
1.486  62.49  32
1.485  62.56  11
1.422  65.66  9
1.232  77.47  6
1.130  86.06  9
1.103  88.72  8
1.101  88.86  8

Structural model:
a b c (Å): 11.5746 11.5746 11.5746
angles (deg): 17.30 17.30 17.30
Fractional coordinates of all 4 atoms:
1 Ce 0.0000 0.0000 0.0000
2 Er 0.2499 0.2499 0.2499
3 Er 0.7501 0.7501 0.7501
4 Lu 0.5000 0.5000 0.5000


(6)
Rb3In2Hg8: calculated PXRD pattern (copper Kα), based on a cell relaxed with GGA-PBE.
Peak positions follow from Bragg's law for the DFT cell and can differ from measured ones.

Principal peaks in the range 10° ≤ 2θ ≤ 90°, sorted by position:
d (Å)  2θ/deg  I_rel
3.899  22.81  51
3.569  24.95  58
3.410  26.13  92
3.040  29.38  72
2.826  31.66  100
2.631  34.08  77
2.525  35.55  51
2.328  38.68  63
2.262  39.85  58
1.782  51.26  51

Structural model:
a b c (Å): 12.4100 12.4100 12.4100
angles (deg): 33.38 33.38 33.38
Fractional coordinates of all 13 atoms:
1 Rb 0.0000 0.0000 0.0000
2 Rb 0.2360 0.2360 0.2360
3 Rb 0.7640 0.7640 0.7640
4 In 0.4233 0.4233 0.4233
5 In 0.5767 0.5767 0.5767
6 Hg 0.1455 0.7208 0.7208
7 Hg 0.2792 0.2792 0.8545
8 Hg 0.2792 0.8545 0.2792
9 Hg 0.3382 0.3382 0.3382
10 Hg 0.6618 0.6618 0.6618
11 Hg 0.7208 0.1455 0.7208
12 Hg 0.7208 0.7208 0.1455
13 Hg 0.8545 0.2792 0.2792